# 1
# Ir3C7
Calculated PXRD pattern, λ = 1.5418 Å (Cu Kα). Input: a DFT-relaxed cell (PBE, OQMD).
Peak positions follow from Bragg's law for the DFT cell and can differ from measured ones.

Principal peaks in the range 2θ = 5–70°, low angle first:
d 3.584, intensity 33; d 2.927, intensity 100; d 2.267, intensity 46; d 2.069, intensity 23; d 1.792, intensity 9; d 1.690, intensity 61; d 1.528, intensity 12; d 1.463, intensity 14

Structural model:
Cell: 6.208 6.208 6.208 Å, 109.47 109.47 109.47°
Fractional coordinates of all 20 atoms:
1 Ir 0.000 0.326 0.326
2 Ir 0.000 0.674 0.674
3 Ir 0.326 0.000 0.326
4 Ir 0.326 0.326 0.000
5 Ir 0.674 0.000 0.674
6 Ir 0.674 0.674 0.000
7 C 0.000 0.000 0.380
8 C 0.000 0.000 0.620
9 C 0.000 0.380 0.000
10 C 0.000 0.620 0.000
11 C 0.250 0.500 0.750
12 C 0.250 0.750 0.500
13 C 0.380 0.000 0.000
14 C 0.380 0.380 0.380
15 C 0.500 0.250 0.750
16 C 0.500 0.750 0.250
17 C 0.620 0.000 0.000
18 C 0.620 0.620 0.620
19 C 0.750 0.250 0.500
20 C 0.750 0.500 0.250

***

# 2
# PrNdCd2As2O2
Calculated PXRD pattern, λ = 1.5418 Å (Cu Kα). Input: a DFT-relaxed cell (PBE, OQMD).
Peak positions follow from Bragg's law for the DFT cell and can differ from measured ones.

Principal peaks in the range 2θ = 5–70°, low angle first:
d 3.105, intensity 100; d 2.825, intensity 66; d 2.496, intensity 53; d 2.481, intensity 33; d 2.098, intensity 56; d 1.822, intensity 37; d 1.738, intensity 37; d 1.602, intensity 17; d 1.484, intensity 18; d 1.386, intensity 19

Structural model:
Cell: 4.196 4.196 9.231 Å, 90.00 90.00 90.00°
Fractional coordinates of all 8 atoms:
1 Pr 0.000 0.000 0.000
2 Nd 0.500 0.500 0.245
3 Cd 0.000 0.500 0.623
4 Cd 0.500 0.000 0.623
5 As 0.000 0.000 0.426
6 As 0.500 0.500 0.820
7 O 0.000 0.500 0.125
8 O 0.500 0.000 0.125

***

# 3
# HoHBrCl
Calculated PXRD pattern, λ = 1.5418 Å (Cu Kα). Input: a DFT-relaxed cell (PBE, OQMD).
Peak positions follow from Bragg's law for the DFT cell and can differ from measured ones.

Principal peaks in the range 2θ = 5–70°, low angle first:
d 7.277, intensity 100; d 3.258, intensity 21; d 3.179, intensity 17; d 2.973, intensity 76; d 2.427, intensity 89; d 1.946, intensity 21; d 1.881, intensity 29; d 1.820, intensity 26; d 1.589, intensity 18; d 1.487, intensity 28

Structural model:
Cell: 3.762 3.762 14.553 Å, 90.00 90.00 120.00°
Fractional coordinates of all 8 atoms:
1 Ho 0.000 0.000 0.000
2 Ho 0.000 0.000 0.500
3 H 0.333 0.667 0.000
4 H 0.667 0.333 0.500
5 Br 0.667 0.333 0.132
6 Br 0.667 0.333 0.868
7 Cl 0.333 0.667 0.381
8 Cl 0.333 0.667 0.619

***

# 4
# Sm2B5
Calculated PXRD pattern, λ = 1.5418 Å (Cu Kα). Input: a DFT-relaxed cell (PBE, OQMD).
Peak positions follow from Bragg's law for the DFT cell and can differ from measured ones.

Principal peaks in the range 2θ = 5–70°, low angle first:
d 3.603, intensity 50; d 3.524, intensity 100; d 3.211, intensity 71; d 3.177, intensity 46; d 2.714, intensity 32; d 2.612, intensity 36; d 2.521, intensity 66; d 2.493, intensity 54; d 2.272, intensity 64; d 1.598, intensity 40

Structural model:
Cell: 7.202 7.206 7.236 Å, 90.00 101.89 90.00°
Fractional coordinates of all 28 atoms:
1 Sm 0.234 0.190 0.131
2 Sm 0.234 0.310 0.631
3 Sm 0.240 0.684 0.259
4 Sm 0.240 0.816 0.759
5 Sm 0.760 0.184 0.241
6 Sm 0.760 0.316 0.741
7 Sm 0.766 0.690 0.369
8 Sm 0.766 0.810 0.869
9 B 0.079 0.506 0.932
10 B 0.079 0.994 0.432
11 B 0.317 0.501 0.963
12 B 0.317 0.999 0.463
13 B 0.497 0.172 0.460
14 B 0.497 0.328 0.960
15 B 0.497 0.539 0.827
16 B 0.497 0.961 0.327
17 B 0.499 0.591 0.591
18 B 0.499 0.909 0.091
19 B 0.501 0.091 0.909
20 B 0.501 0.409 0.409
21 B 0.503 0.039 0.673
22 B 0.503 0.461 0.173
23 B 0.503 0.672 0.040
24 B 0.503 0.828 0.540
25 B 0.683 0.001 0.537
26 B 0.683 0.499 0.037
27 B 0.921 0.006 0.568
28 B 0.921 0.494 0.068

***

# 5
# GaIr17
Calculated PXRD pattern, λ = 1.5418 Å (Cu Kα). Input: a DFT-relaxed cell (PBE, OQMD).
Peak positions follow from Bragg's law for the DFT cell and can differ from measured ones.

Principal peaks in the range 2θ = 5–70°, low angle first:
d 16.524, intensity 71; d 11.016, intensity 19; d 2.361, intensity 19; d 2.267, intensity 36; d 2.221, intensity 100; d 2.203, intensity 31; d 2.168, intensity 21; d 1.984, intensity 30; d 1.919, intensity 63; d 1.361, intensity 22

Structural model:
Cell: 5.445 5.445 33.048 Å, 90.00 90.00 120.00°
Fractional coordinates of all 36 atoms:
1 Ga 0.333 0.667 0.277
2 Ga 0.667 0.333 0.723
3 Ir 0.000 0.000 0.000
4 Ir 0.000 0.000 0.204
5 Ir 0.000 0.000 0.796
6 Ir 0.000 0.500 0.000
7 Ir 0.001 0.501 0.203
8 Ir 0.166 0.332 0.731
9 Ir 0.166 0.834 0.731
10 Ir 0.167 0.334 0.136
11 Ir 0.167 0.334 0.932
12 Ir 0.167 0.833 0.136
13 Ir 0.167 0.833 0.932
14 Ir 0.332 0.166 0.269
15 Ir 0.333 0.667 0.068
16 Ir 0.333 0.667 0.865
17 Ir 0.334 0.167 0.068
18 Ir 0.334 0.167 0.864
19 Ir 0.499 0.501 0.203
20 Ir 0.499 0.999 0.203
21 Ir 0.500 0.000 0.000
22 Ir 0.500 0.500 0.000
23 Ir 0.501 0.001 0.797
24 Ir 0.501 0.499 0.797
25 Ir 0.666 0.833 0.136
26 Ir 0.666 0.833 0.932
27 Ir 0.667 0.333 0.135
28 Ir 0.667 0.333 0.932
29 Ir 0.668 0.834 0.731
30 Ir 0.833 0.167 0.068
31 Ir 0.833 0.167 0.864
32 Ir 0.833 0.666 0.068
33 Ir 0.833 0.666 0.864
34 Ir 0.834 0.166 0.269
35 Ir 0.834 0.668 0.269
36 Ir 0.999 0.499 0.797

***

# 6
# NdGdAl4Ni2
Calculated PXRD pattern, λ = 1.5418 Å (Cu Kα). Input: a DFT-relaxed cell (PBE, OQMD).
Peak positions follow from Bragg's law for the DFT cell and can differ from measured ones.

Principal peaks in the range 2θ = 5–70°, low angle first:
d 4.193, intensity 17; d 3.791, intensity 69; d 3.452, intensity 53; d 2.553, intensity 96; d 2.482, intensity 100; d 2.465, intensity 63; d 2.031, intensity 29; d 1.740, intensity 33; d 1.571, intensity 16; d 1.568, intensity 38

Structural model:
Cell: 6.904 5.655 5.655 Å, 42.10 90.00 90.00°
Fractional coordinates of all 8 atoms:
1 Nd 0.000 0.000 0.000
2 Gd 0.500 0.887 0.887
3 Al 0.196 0.280 0.280
4 Al 0.307 0.608 0.608
5 Al 0.693 0.608 0.608
6 Al 0.804 0.280 0.280
7 Ni 0.000 0.725 0.725
8 Ni 0.500 0.161 0.161

***

# 7
# Ho4O5
Calculated PXRD pattern, λ = 1.5418 Å (Cu Kα). Input: a DFT-relaxed cell (PBE, OQMD).
Peak positions follow from Bragg's law for the DFT cell and can differ from measured ones.

Principal peaks in the range 2θ = 5–70°, low angle first:
d 8.846, intensity 1; d 2.951, intensity 100; d 2.802, intensity 39; d 2.212, intensity 10; d 1.981, intensity 21; d 1.736, intensity 26; d 1.645, intensity 36; d 1.476, intensity 12; d 1.401, intensity 7; d 1.382, intensity 10

Structural model:
Cell: 3.962 3.962 8.846 Å, 90.00 90.00 90.00°
Fractional coordinates of all 9 atoms:
1 Ho 0.000 0.000 0.000
2 Ho 0.000 0.000 0.500
3 Ho 0.500 0.500 0.244
4 Ho 0.500 0.500 0.756
5 O 0.000 0.500 0.149
6 O 0.000 0.500 0.851
7 O 0.500 0.000 0.149
8 O 0.500 0.000 0.851
9 O 0.500 0.500 0.500

***

# 8
# Nb4Bi3Mo2N3
Calculated PXRD pattern, λ = 1.5418 Å (Cu Kα). Input: a DFT-relaxed cell (PBE, OQMD).
Peak positions follow from Bragg's law for the DFT cell and can differ from measured ones.

Principal peaks in the range 2θ = 5–70°, low angle first:
d 3.355, intensity 13; d 2.940, intensity 36; d 2.872, intensity 22; d 2.458, intensity 100; d 2.454, intensity 50; d 2.237, intensity 23; d 1.779, intensity 14; d 1.697, intensity 33; d 1.396, intensity 16; d 1.350, intensity 13

Structural model:
Cell: 5.882 5.882 13.856 Å, 102.45 102.45 59.93°
Fractional coordinates of all 24 atoms:
1 Nb 0.003 0.208 0.073
2 Nb 0.163 0.302 0.427
3 Nb 0.208 0.003 0.573
4 Nb 0.302 0.163 0.927
5 Nb 0.698 0.837 0.073
6 Nb 0.792 0.997 0.427
7 Nb 0.837 0.698 0.573
8 Nb 0.997 0.792 0.927
9 Bi 0.085 0.915 0.250
10 Bi 0.251 0.416 0.749
11 Bi 0.416 0.251 0.249
12 Bi 0.584 0.749 0.751
13 Bi 0.749 0.584 0.251
14 Bi 0.915 0.085 0.750
15 Mo 0.380 0.538 0.077
16 Mo 0.462 0.620 0.423
17 Mo 0.538 0.380 0.577
18 Mo 0.620 0.462 0.923
19 N 0.000 0.500 0.000
20 N 0.167 0.662 0.503
21 N 0.338 0.833 0.997
22 N 0.500 0.000 0.500
23 N 0.662 0.167 0.003
24 N 0.833 0.338 0.497